The following is a simulated powder X-ray diffraction pattern of HoMg12Sc3. It was derived from a cell relaxed with PBE, using Cu Ka.
Kinematic intensities with the Lorentz-polarization factor, no thermal factor.

Unit cell a=4.5138 b=4.5138 c=18.4581 alpha=90.00 beta=90.00 gamma=90.00
Space group P4/mmm (No. 123)
Inequivalent atoms, fractional coordinates:
Ho 0.0000 0.0000 0.0000 [1 per cell]
Mg 0.0000 0.5000 0.1302 [4 per cell]
Mg 0.0000 0.5000 0.3772 [4 per cell]
Mg 0.5000 0.5000 0.0000 [1 per cell]
Mg 0.5000 0.5000 0.2543 [2 per cell]
Mg 0.5000 0.5000 0.5000 [1 per cell]
Sc 0.0000 0.0000 0.2540 [2 per cell]
Sc 0.0000 0.0000 0.5000 [1 per cell]

Top 10 peaks for 2θ from 10° to 90°, by angle:
(hkl)  2θ (°)  I (rel.)
1 0 0  19.7  20.8
1 0 1  20.3  13.3
1 0 4  27.6  18.0
1 1 4  34.2  100.0
0 0 8  39.0  16.8
2 0 0  39.9  32.2
2 0 8  57.1  21.1
2 2 0  57.8  11.7
1 1 12  67.6  12.0
3 1 4  68.8  24.8

=====

The following is a simulated powder X-ray diffraction pattern of La4OsAu. It was derived from a cell relaxed with PBE, using Cu Ka.
Kinematic intensities with the Lorentz-polarization factor, no thermal factor.

Unit cell a=8.7089 b=13.2061 c=6.4535 alpha=90.00 beta=104.78 gamma=90.00
Space group C2/c (No. 15)
Inequivalent atoms, fractional coordinates:
La 0.1089 0.1703 0.0354 [8 per cell]
La 0.2044 0.4221 0.4193 [8 per cell]
Os 0.0000 0.0002 0.2500 [4 per cell]
Au 0.0000 0.3746 0.7500 [4 per cell]

Top 10 peaks for 2θ from 10° to 90°, by angle:
(hkl)  2θ (°)  I (rel.)
0 2 0  13.4  34.3
1 3 1  28.4  39.3
2 0 -2  31.0  28.7
2 2 1  31.6  100.0
3 1 -1  32.2  58.4
2 2 -2  33.9  35.4
1 3 -2  34.6  65.1
1 5 0  35.6  47.6
3 3 0  38.0  34.6
1 3 2  39.0  32.3

=====

The following is a simulated powder X-ray diffraction pattern of TlV4FeS8. It was derived from a cell relaxed with PBE, using Cu Ka.
Kinematic intensities with the Lorentz-polarization factor, no thermal factor.

Unit cell a=17.3951 b=3.2932 c=8.4965 alpha=90.00 beta=105.69 gamma=90.00
Space group C2/m (No. 12)
Inequivalent atoms, fractional coordinates:
Tl 0.0000 0.0000 0.0000 [2 per cell]
V 0.1468 0.0000 0.5019 [4 per cell]
V 0.2116 0.0000 0.8596 [4 per cell]
Fe 0.0000 0.5000 0.5000 [2 per cell]
S 0.0687 0.0000 0.6702 [4 per cell]
S 0.0813 0.5000 0.3250 [4 per cell]
S 0.1580 0.5000 0.9928 [4 per cell]
S 0.2420 0.5000 0.6627 [4 per cell]

Top 10 peaks for 2θ from 10° to 90°, by angle:
(hkl)  2θ (°)  I (rel.)
2 0 0  10.6  49.5
4 0 -1  21.1  60.4
0 0 2  21.7  66.8
1 1 1  30.3  39.1
6 0 -2  33.6  47.7
3 1 1  34.9  100.0
3 1 -2  36.0  50.4
5 1 1  42.0  35.7
3 1 -3  42.7  73.3
9 1 -1  55.1  45.4

=====

The following is a simulated powder X-ray diffraction pattern of CsTaFePb2. It was derived from a cell relaxed with PBE, using Cu Ka.
Kinematic intensities with the Lorentz-polarization factor, no thermal factor.

Unit cell a=6.0986 b=6.0986 c=4.7918 alpha=90.00 beta=90.00 gamma=90.00
Space group P4/mmm (No. 123)
Inequivalent atoms, fractional coordinates:
Cs 0.0000 0.0000 0.0000 [1 per cell]
Ta 0.5000 0.5000 0.5000 [1 per cell]
Fe 0.0000 0.0000 0.5000 [1 per cell]
Pb 0.0000 0.5000 0.0000 [2 per cell]

Top 10 peaks for 2θ from 10° to 90°, by angle:
(hkl)  2θ (°)  I (rel.)
0 0 1  18.5  21.9
1 0 1  23.6  34.9
1 1 1  27.8  100.0
2 0 0  29.3  99.8
0 0 2  37.5  25.9
2 2 0  41.9  38.2
2 0 2  48.3  50.8
3 1 1  51.0  38.9
2 2 2  57.5  30.3
4 2 2  81.2  23.0

=====

The following is a simulated powder X-ray diffraction pattern of Sr2ScGa3Pd4. It was derived from a cell relaxed with PBE, using Cu Ka.
Kinematic intensities with the Lorentz-polarization factor, no thermal factor.

Unit cell a=4.3604 b=4.3604 c=11.0798 alpha=90.00 beta=90.00 gamma=90.00
Space group P-4m2 (No. 115)
Inequivalent atoms, fractional coordinates:
Sr 0.0000 0.5000 0.2363 [2 per cell]
Sc 0.0000 0.0000 0.5000 [1 per cell]
Ga 0.0000 0.5000 0.8787 [2 per cell]
Ga 0.5000 0.5000 0.5000 [1 per cell]
Pd 0.0000 0.0000 0.0000 [1 per cell]
Pd 0.0000 0.5000 0.6447 [2 per cell]
Pd 0.5000 0.5000 0.0000 [1 per cell]

Top 10 peaks for 2θ from 10° to 90°, by angle:
(hkl)  2θ (°)  I (rel.)
1 0 3  31.8  50.3
1 1 2  33.3  100.0
2 0 0  41.4  67.1
1 1 4  43.9  37.6
1 0 5  45.9  28.1
2 1 3  53.1  22.9
2 2 0  60.0  21.8
2 1 5  63.6  21.0
3 1 2  70.4  21.6
3 1 4  77.3  13.3

=====

The following is a simulated powder X-ray diffraction pattern of Ba2Cd5Bi3. It was derived from a cell relaxed with PBE, using Cu Ka.
Kinematic intensities with the Lorentz-polarization factor, no thermal factor.

Unit cell a=4.9153 b=4.9153 c=13.5969 alpha=90.00 beta=90.00 gamma=90.00
Space group P-4m2 (No. 115)
Inequivalent atoms, fractional coordinates:
Ba 0.0000 0.5000 0.2311 [2 per cell]
Cd 0.0000 0.0000 0.0000 [1 per cell]
Cd 0.0000 0.0000 0.5000 [1 per cell]
Cd 0.0000 0.5000 0.8844 [2 per cell]
Cd 0.5000 0.5000 0.0000 [1 per cell]
Bi 0.0000 0.5000 0.6634 [2 per cell]
Bi 0.5000 0.5000 0.5000 [1 per cell]

Top 10 peaks for 2θ from 10° to 90°, by angle:
(hkl)  2θ (°)  I (rel.)
1 0 1  19.2  18.5
1 0 3  26.8  28.5
1 1 2  28.8  100.0
1 0 4  32.0  22.0
2 0 0  36.6  60.2
1 1 4  37.0  33.2
1 0 5  37.8  26.1
2 2 0  52.7  21.0
2 1 5  53.6  19.1
3 1 2  61.2  23.8

=====

The following is a simulated powder X-ray diffraction pattern of SmSnIr. It was derived from a cell relaxed with PBE, using Cu Ka.
Kinematic intensities with the Lorentz-polarization factor, no thermal factor.

Unit cell a=7.4212 b=4.3607 c=12.4437 alpha=90.00 beta=91.47 gamma=90.00
Space group P2_1/m (No. 11)
Inequivalent atoms, fractional coordinates:
Sm 0.0303 0.2500 0.1228 [2 per cell]
Sm 0.1473 0.2500 0.4194 [2 per cell]
Sm 0.4657 0.7500 0.7917 [2 per cell]
Sn 0.1326 0.2500 0.7076 [2 per cell]
Sn 0.3448 0.7500 0.0454 [2 per cell]
Sn 0.4892 0.7500 0.4104 [2 per cell]
Ir 0.2314 0.7500 0.2539 [2 per cell]
Ir 0.2665 0.7500 0.5896 [2 per cell]
Ir 0.2691 0.2500 0.9226 [2 per cell]

Top 10 peaks for 2θ from 10° to 90°, by angle:
(hkl)  2θ (°)  I (rel.)
2 1 0  31.7  46.4
1 1 -3  31.9  71.4
1 1 3  32.4  94.2
2 1 -2  34.6  66.3
2 1 2  35.1  88.8
0 1 4  35.5  82.9
2 0 -4  37.3  41.4
0 2 0  41.4  100.0
3 0 -3  42.1  39.3
0 0 6  43.7  44.3

=====

The following is a simulated powder X-ray diffraction pattern of ErSi2Au4. It was derived from a cell relaxed with PBE, using Cu Ka.
Kinematic intensities with the Lorentz-polarization factor, no thermal factor.

Unit cell a=4.3593 b=13.6072 c=4.3808 alpha=90.00 beta=90.00 gamma=90.00
Space group Cmmm (No. 65)
Inequivalent atoms, fractional coordinates:
Er 0.0000 0.0000 0.0000 [2 per cell]
Si 0.0000 0.4152 0.5000 [4 per cell]
Au 0.0000 0.1712 0.5000 [4 per cell]
Au 0.0000 0.3296 0.0000 [4 per cell]

Top 10 peaks for 2θ from 10° to 90°, by angle:
(hkl)  2θ (°)  I (rel.)
0 2 0  13.0  14.9
1 3 1  35.1  100.0
0 6 0  39.7  15.7
0 0 2  41.2  18.3
2 0 0  41.4  18.1
2 0 2  59.9  12.3
1 9 1  69.2  13.9
1 3 3  71.2  13.2
3 3 1  71.5  13.1
2 6 2  74.3  10.3

=====

The following is a simulated powder X-ray diffraction pattern of LiAgHg5. It was derived from a cell relaxed with PBE, using Cu Ka.
Kinematic intensities with the Lorentz-polarization factor, no thermal factor.

Unit cell a=9.8820 b=10.3951 c=7.7969 alpha=90.00 beta=122.71 gamma=90.00
Space group C2/c (No. 15)
Inequivalent atoms, fractional coordinates:
Li 0.2500 0.2500 0.0000 [4 per cell]
Ag 0.0000 0.2074 0.2500 [4 per cell]
Hg 0.0000 0.0720 0.7500 [4 per cell]
Hg 0.0659 0.3580 0.6006 [8 per cell]
Hg 0.2465 0.4179 0.3701 [8 per cell]

Top 10 peaks for 2θ from 10° to 90°, by angle:
(hkl)  2θ (°)  I (rel.)
1 1 1  23.0  41.0
3 1 -2  30.1  100.0
1 3 1  33.6  56.6
1 1 2  35.5  28.0
2 2 1  35.7  29.7
0 4 1  37.2  36.9
1 1 -3  37.4  20.3
3 3 -1  37.9  18.4
2 2 -3  38.7  35.8
4 2 -1  41.6  28.5